[1]
Structure and simulated X-ray diffraction stick pattern of YEr6Ni2Se2 (a DFT-relaxed cell (PBE, OQMD); a wavelength of 1.5418 Å).

Largest 6 diffraction maxima, low angle first, 10° ≤ 2θ ≤ 90°:
- 29.63°, I = 46
- 31.18°, I = 53
- 34.18°, I = 69
- 35.13°, I = 100
- 35.59°, I = 59
- 48.25°, I = 29

Cell and atoms:
```
YEr6Ni2Se2
1.0
-1.886 7.491 4.624
1.886 -7.491 4.624
1.886 7.491 -4.624
Y Er Ni Se
1 6 2 2
Cartesian
0.000 0.000 0.000
1.886 5.615 -0.797
1.886 2.748 1.093
0.000 1.876 3.827
0.000 5.375 2.402
0.000 9.607 2.402
0.000 4.743 5.716
1.886 -3.915 3.919
1.886 3.915 3.919
1.886 0.000 2.397
0.000 0.000 6.112
```

[2]
Structure and simulated X-ray diffraction stick pattern of La2Pr2CBr2Cl3 (a DFT-relaxed cell (PBE, OQMD); a wavelength of 1.5418 Å).

Largest 6 diffraction maxima, low angle first, 10° ≤ 2θ ≤ 90°:
- 11.22°, I = 74
- 29.94°, I = 49
- 31.39°, I = 100
- 43.09°, I = 27
- 44.76°, I = 33
- 55.59°, I = 24

Cell and atoms:
```
La2Pr2CBr2Cl3
1.0
9.299 -1.987 0.000
9.299 1.987 0.000
-2.214 0.000 7.885
La Pr C Br Cl
2 2 1 2 3
Cartesian
2.477 0.000 0.722
13.908 0.000 7.162
8.829 0.000 1.698
7.555 0.000 6.187
0.000 0.000 0.000
5.781 0.000 1.377
10.604 0.000 6.507
-1.107 0.000 3.942
4.895 0.000 5.095
11.490 0.000 2.790
```

[3]
Structure and simulated X-ray diffraction stick pattern of TbEr2Cd3AgAu2 (a DFT-relaxed cell (PBE, OQMD); a wavelength of 1.5418 Å).

Largest 6 diffraction maxima, low angle first, 10° ≤ 2θ ≤ 90°:
- 32.69°, I = 100
- 34.93°, I = 29
- 35.33°, I = 91
- 39.85°, I = 34
- 42.40°, I = 28
- 63.66°, I = 25

Cell and atoms:
```
TbEr2Cd3AgAu2
1.0
3.828 0.000 0.000
0.000 6.802 3.915
0.000 -6.802 3.915
Tb Er Cd Ag Au
1 2 3 1 2
Cartesian
0.000 0.000 0.000
0.000 -2.777 4.790
0.000 2.777 4.790
1.914 -1.790 2.170
1.914 1.790 2.170
1.914 0.000 5.239
0.000 0.000 3.199
1.914 -4.518 3.187
1.914 4.518 3.187
```

[4]
Structure and simulated X-ray diffraction stick pattern of NaInSiPd (a DFT-relaxed cell (PBE, OQMD); a wavelength of 1.5418 Å).

Largest 6 diffraction maxima, low angle first, 10° ≤ 2θ ≤ 90°:
- 26.88°, I = 49
- 38.38°, I = 100
- 47.48°, I = 14
- 55.41°, I = 17
- 62.63°, I = 18
- 69.41°, I = 33

Cell and atoms:
```
NaInSiPd
1.0
6.633 0.000 0.000
0.000 6.633 0.000
0.000 0.000 6.633
Na In Si Pd
4 4 4 4
Cartesian
0.000 0.000 0.000
0.000 3.317 3.317
3.317 0.000 3.317
3.317 3.317 0.000
1.658 1.658 4.975
1.658 4.975 1.658
4.975 1.658 1.658
4.975 4.975 4.975
0.000 0.000 3.317
0.000 3.317 0.000
3.317 0.000 0.000
3.317 3.317 3.317
1.658 1.658 1.658
1.658 4.975 4.975
4.975 1.658 4.975
4.975 4.975 1.658
```

[5]
Structure and simulated X-ray diffraction stick pattern of ErTmGa2 (a DFT-relaxed cell (PBE, OQMD); a wavelength of 1.5418 Å).

Largest 6 diffraction maxima, low angle first, 10° ≤ 2θ ≤ 90°:
- 30.70°, I = 29
- 32.32°, I = 100
- 35.10°, I = 58
- 39.04°, I = 19
- 40.50°, I = 17
- 41.92°, I = 26

Cell and atoms:
```
ErTmGa2
1.0
4.310 0.000 0.000
0.000 13.007 0.000
0.000 0.000 6.549
Er Tm Ga
4 4 8
Cartesian
0.000 0.681 1.637
0.000 12.326 4.912
2.155 5.823 4.912
2.155 7.184 1.637
0.000 2.900 4.912
0.000 10.107 1.637
2.155 3.603 1.637
2.155 9.404 4.912
0.000 5.211 0.342
0.000 5.211 2.932
0.000 7.795 3.617
0.000 7.795 6.207
2.155 1.292 3.617
2.155 1.292 6.207
2.155 11.715 0.342
2.155 11.715 2.932
```

[6]
Structure and simulated X-ray diffraction stick pattern of LiMo6Cl13 (a DFT-relaxed cell (PBE, OQMD); a wavelength of 1.5418 Å).

Largest 6 diffraction maxima, low angle first, 10° ≤ 2θ ≤ 90°:
- 11.52°, I = 100
- 11.70°, I = 91
- 13.25°, I = 41
- 13.46°, I = 41
- 14.11°, I = 45
- 14.23°, I = 43

Cell and atoms:
```
LiMo6Cl13
1.0
8.769 0.000 0.000
-3.607 8.169 0.000
-3.075 -2.794 13.156
Li Mo Cl
2 12 26
Cartesian
-1.549 1.428 3.592
3.636 3.947 9.564
1.241 -1.182 5.669
1.220 2.988 0.626
-1.630 1.948 11.842
-0.782 4.962 6.194
1.914 -1.703 8.160
0.053 -0.056 12.002
2.034 5.431 1.154
0.173 7.077 4.996
2.869 0.412 6.962
3.717 3.427 1.314
0.867 2.387 12.530
0.846 6.557 7.487
-0.875 -0.808 4.519
-0.550 1.486 1.430
-2.341 -0.402 11.451
-3.167 4.954 6.844
-3.061 2.691 9.983
-0.303 4.955 0.441
-0.789 2.597 5.590
-1.435 5.556 3.863
0.457 0.184 7.537
0.745 -1.955 10.437
2.879 1.145 0.738
2.241 0.805 4.582
0.261 1.688 10.254
1.826 3.686 2.902
-0.154 4.570 8.574
-0.792 4.230 12.418
1.342 7.329 2.719
1.630 5.191 5.619
3.522 -0.182 9.293
2.876 2.778 7.566
2.390 0.420 12.715
5.148 2.684 3.173
5.254 0.421 6.312
4.428 5.777 1.704
2.637 3.888 11.726
2.962 6.182 8.637
```

[7]
Structure and simulated X-ray diffraction stick pattern of Li2ZrSn2 (a DFT-relaxed cell (PBE, OQMD); a wavelength of 1.5418 Å).

Largest 6 diffraction maxima, low angle first, 10° ≤ 2θ ≤ 90°:
- 13.91°, I = 60
- 30.80°, I = 86
- 31.80°, I = 100
- 42.12°, I = 94
- 45.59°, I = 42
- 63.80°, I = 56

Cell and atoms:
```
Li2ZrSn2
1.0
3.980 0.000 0.000
0.000 3.980 0.000
0.000 0.000 12.736
Li Zr Sn
4 2 4
Cartesian
0.000 1.990 3.184
0.000 1.990 9.552
1.990 0.000 3.184
1.990 0.000 9.552
0.000 0.000 0.000
1.990 1.990 6.368
0.000 0.000 4.985
0.000 0.000 7.751
1.990 1.990 1.383
1.990 1.990 11.353
```

[8]
Structure and simulated X-ray diffraction stick pattern of KHfCuSe2S (a DFT-relaxed cell (PBE, OQMD); a wavelength of 1.5418 Å).

Largest 6 diffraction maxima, low angle first, 10° ≤ 2θ ≤ 90°:
- 11.94°, I = 100
- 29.99°, I = 16
- 31.48°, I = 41
- 32.59°, I = 25
- 36.45°, I = 14
- 45.18°, I = 18

Cell and atoms:
```
KHfCuSe2S
1.0
8.446 0.000 0.000
0.000 3.850 0.000
-3.561 0.000 8.938
K Hf Cu Se S
2 2 2 4 2
Cartesian
1.038 0.963 2.613
3.847 2.888 6.325
-0.367 2.888 7.410
5.252 0.963 1.528
-1.432 0.963 5.348
6.317 2.888 3.590
-2.214 0.963 7.659
3.350 2.888 1.274
1.535 0.963 7.664
7.099 2.888 1.279
-0.103 2.888 4.945
4.988 0.963 3.993
```

[9]
Structure and simulated X-ray diffraction stick pattern of BaNiS2 (a DFT-relaxed cell (PBE, OQMD); a wavelength of 1.5418 Å).

Largest 6 diffraction maxima, low angle first, 10° ≤ 2θ ≤ 90°:
- 22.40°, I = 35
- 28.33°, I = 59
- 28.52°, I = 100
- 34.96°, I = 43
- 36.26°, I = 56
- 40.77°, I = 66

Cell and atoms:
```
BaNiS2
1.0
4.422 0.000 0.000
0.000 4.432 0.000
0.000 0.000 8.970
Ba Ni S
2 2 4
Cartesian
1.105 1.108 1.776
3.316 3.324 7.194
1.105 1.108 5.251
3.316 3.324 3.718
1.105 1.108 7.558
1.105 3.324 4.490
3.316 1.108 4.480
3.316 3.324 1.412
```

[10]
Structure and simulated X-ray diffraction stick pattern of LiSn2OsO6 (a DFT-relaxed cell (PBE, OQMD); a wavelength of 1.5418 Å).

Largest 6 diffraction maxima, low angle first, 10° ≤ 2θ ≤ 90°:
- 19.78°, I = 79
- 32.31°, I = 100
- 33.09°, I = 58
- 38.84°, I = 27
- 47.49°, I = 27
- 58.61°, I = 47

Cell and atoms:
```
LiSn2OsO6
1.0
-2.707 2.707 4.013
2.707 -2.707 4.013
2.707 2.707 -4.013
Li Sn Os O
1 2 1 6
Cartesian
0.000 0.000 0.000
2.707 0.000 2.007
0.000 2.707 2.007
0.000 0.000 4.013
3.580 1.012 0.000
0.000 0.000 2.076
1.012 1.835 0.000
1.696 0.872 4.013
0.000 0.000 5.950
-0.872 1.696 4.013
```

[11]
Structure and simulated X-ray diffraction stick pattern of Ho2CoSi (a DFT-relaxed cell (PBE, OQMD); a wavelength of 1.5418 Å).

Largest 6 diffraction maxima, low angle first, 10° ≤ 2θ ≤ 90°:
- 27.54°, I = 49
- 30.12°, I = 100
- 32.98°, I = 87
- 34.75°, I = 88
- 36.90°, I = 63
- 41.63°, I = 57

Cell and atoms:
```
Ho2CoSi
1.0
4.003 0.000 0.000
0.000 5.510 0.000
0.000 0.000 7.393
Ho Co Si
4 2 2
Cartesian
0.000 0.644 0.000
0.000 4.865 3.697
2.002 2.036 2.646
2.002 3.473 6.343
2.002 0.751 5.234
2.002 4.758 1.538
0.000 2.000 4.809
0.000 3.510 1.112
```

[12]
Structure and simulated X-ray diffraction stick pattern of Tb2YZn4Ge4 (a DFT-relaxed cell (PBE, OQMD); a wavelength of 1.5418 Å).

Largest 6 diffraction maxima, low angle first, 10° ≤ 2θ ≤ 90°:
- 33.20°, I = 48
- 33.84°, I = 100
- 43.14°, I = 28
- 44.59°, I = 26
- 45.00°, I = 32
- 55.50°, I = 22

Cell and atoms:
```
Tb2YZn4Ge4
1.0
-2.032 2.097 12.631
2.032 -2.097 12.631
2.032 2.097 -12.631
Tb Y Zn Ge
2 1 4 4
Cartesian
0.000 0.000 3.616
0.000 0.000 21.647
0.000 2.097 0.000
2.032 0.000 6.300
0.000 0.000 10.259
0.000 0.000 15.004
0.000 2.097 6.331
2.032 0.000 1.228
0.000 0.000 7.855
0.000 0.000 17.408
0.000 2.097 11.403
```

[13]
Structure and simulated X-ray diffraction stick pattern of InAgO2 (a DFT-relaxed cell (PBE, OQMD); a wavelength of 1.5418 Å).

Largest 6 diffraction maxima, low angle first, 10° ≤ 2θ ≤ 90°:
- 28.03°, I = 47
- 32.19°, I = 56
- 34.48°, I = 100
- 53.86°, I = 34
- 55.88°, I = 29
- 63.66°, I = 27

Cell and atoms:
```
InAgO2
1.0
3.291 0.000 0.000
-1.645 2.850 0.000
0.000 0.000 12.735
In Ag O
2 2 4
Cartesian
0.000 0.000 0.000
0.000 0.000 6.368
0.000 1.900 3.184
1.645 0.950 9.551
0.000 1.900 1.091
0.000 1.900 5.277
1.645 0.950 7.458
1.645 0.950 11.644
```

[14]
Structure and simulated X-ray diffraction stick pattern of Tb3BiN2 (a DFT-relaxed cell (PBE, OQMD); a wavelength of 1.5418 Å).

Largest 6 diffraction maxima, low angle first, 10° ≤ 2θ ≤ 90°:
- 30.17°, I = 32
- 33.67°, I = 100
- 34.16°, I = 25
- 38.89°, I = 20
- 51.24°, I = 28
- 63.03°, I = 26

Cell and atoms:
```
Tb3BiN2
1.0
3.566 0.000 0.000
-1.783 3.088 0.000
0.000 0.000 10.500
Tb Bi N
3 1 2
Cartesian
0.000 0.000 0.000
0.000 2.059 2.674
1.783 1.029 7.826
0.000 0.000 5.250
0.000 2.059 9.017
1.783 1.029 1.483
```